The following is a simulated powder X-ray diffraction pattern of La2Pm2SmY2. It was derived from a structure optimized by DFT (PBE), using Cu Ka.

Top 6 peaks for 5 to 70 degrees two-theta, by intensity:
- 2.985 Å, I 100
- 1.828 Å, I 36
- 2.583 Å, I 34
- 1.559 Å, I 28
- 2.588 Å, I 17
- 1.557 Å, I 14

Crystal structure
a = 6.3330 Å, b = 6.3330 Å, c = 8.1662 Å
α = 97.48°, β = 97.48°, γ = 48.24°
Sites, in units of the cell vectors:
La (0.1423, 0.1423, 0.4276)
La (0.8577, 0.8577, 0.5724)
Pm (0.4292, 0.4292, 0.2820)
Pm (0.5708, 0.5708, 0.7180)
Sm (0.0000, 0.0000, 0.0000)
Y (0.2846, 0.2846, 0.8610)
Y (0.7154, 0.7154, 0.1390)

***

The following is a simulated powder X-ray diffraction pattern of La2Pm2SmY. It was derived from a structure optimized by DFT (PBE), using Cu Ka.

Top 6 peaks for 5 to 70 degrees two-theta, by intensity:
- 2.893 Å, I 100
- 2.915 Å, I 84
- 1.674 Å, I 32
- 2.053 Å, I 31
- 1.524 Å, I 29
- 1.670 Å, I 19

Crystal structure
a = 7.1696 Å, b = 5.7891 Å, c = 10.0128 Å
α = 90.00°, β = 90.00°, γ = 90.00°
Sites, in units of the cell vectors:
La (0.0000, 0.0000, 0.0000)
La (0.2500, 0.5000, 0.1746)
La (0.5000, 0.0000, 0.0000)
La (0.7500, 0.5000, 0.8254)
Pm (0.2500, 0.0000, 0.3328)
Pm (0.2500, 0.5000, 0.8351)
Pm (0.7500, 0.0000, 0.6672)
Pm (0.7500, 0.5000, 0.1649)
Sm (0.2500, 0.0000, 0.6596)
Sm (0.7500, 0.0000, 0.3404)
Y (0.0000, 0.5000, 0.5000)
Y (0.5000, 0.5000, 0.5000)

***

The following is a simulated powder X-ray diffraction pattern of LaPmSmZn. It was derived from a structure optimized by DFT (PBE), using Cu Ka.

Top 6 peaks for 5 to 70 degrees two-theta, by intensity:
- 2.826 Å, I 100
- 2.603 Å, I 49
- 1.542 Å, I 32
- 3.397 Å, I 18
- 1.840 Å, I 18
- 1.949 Å, I 15

Crystal structure
a = 3.6809 Å, b = 3.6809 Å, c = 8.8238 Å
α = 90.00°, β = 90.00°, γ = 90.00°
Sites, in units of the cell vectors:
La (0.0000, 0.0000, 0.0000)
Pm (0.5000, 0.5000, 0.2986)
Sm (0.5000, 0.5000, 0.7036)
Zn (0.0000, 0.0000, 0.5032)